Entry 1:
Theoretical X-ray powder pattern of Li4Ti3Co3O12 for CuKα, from a GGA+U-relaxed structure.
No peak broadening, texture or thermal motion is included.

Structural model:
Lattice parameters (Å, degrees): 7.958 7.959 8.331 73.72 75.75 65.77
Positions (direct):
1 Li 0.000 0.000 0.000
2 Li 0.143 0.192 0.136
3 Li 0.253 0.746 0.252
4 Li 0.341 0.320 0.349
5 Li 0.500 0.500 0.500
6 Li 0.659 0.680 0.651
7 Li 0.747 0.254 0.748
8 Li 0.857 0.808 0.864
9 Ti 0.069 0.578 0.603
10 Ti 0.256 0.754 0.737
11 Ti 0.426 0.911 0.911
12 Ti 0.574 0.089 0.089
13 Ti 0.744 0.246 0.263
14 Ti 0.931 0.422 0.397
15 Co 0.000 0.000 0.500
16 Co 0.166 0.164 0.668
17 Co 0.337 0.334 0.832
18 Co 0.500 0.500 0.000
19 Co 0.663 0.666 0.168
20 Co 0.834 0.836 0.332
21 O 0.024 0.982 0.749
22 O 0.074 0.582 0.352
23 O 0.100 0.591 0.816
24 O 0.147 0.189 0.437
25 O 0.196 0.147 0.895
26 O 0.231 0.741 0.516
27 O 0.275 0.757 0.983
28 O 0.304 0.353 0.603
29 O 0.345 0.310 0.067
30 O 0.405 0.907 0.682
31 O 0.430 0.912 0.147
32 O 0.479 0.515 0.752
33 O 0.521 0.485 0.248
34 O 0.570 0.088 0.853
35 O 0.595 0.093 0.318
36 O 0.655 0.690 0.933
37 O 0.696 0.647 0.397
38 O 0.725 0.243 0.017
39 O 0.769 0.259 0.484
40 O 0.804 0.853 0.105
41 O 0.853 0.811 0.563
42 O 0.900 0.409 0.184
43 O 0.926 0.418 0.648
44 O 0.976 0.018 0.251

Principal peaks in the range 10° ≤ 2θ ≤ 80°, low angle first:
hkl  d/Å  2theta  intensity
1 0 -1  4.957  17.89  100.0
2 3 1  2.557  35.10  25.2
2 1 3  2.505  35.84  11.1
2 -2 0  2.159  41.83  23.0
3 3 0  2.115  42.75  21.7
1 1 4  2.082  43.47  20.1
5 1 0  1.519  61.00  5.7
1 5 0  1.503  61.70  6.0
4 4 4  1.485  62.53  5.9
3 -1 4  1.476  62.99  5.6

---

Entry 2:
Theoretical X-ray powder pattern of Tb2AlFeO6 for CuKα, from a GGA+U-relaxed structure.
No peak broadening, texture or thermal motion is included.

Structural model:
Lattice parameters (Å, degrees): 5.260 5.451 9.139 90.00 125.03 90.00
Positions (direct):
1 Tb 0.235 0.061 0.250
2 Tb 0.235 0.439 0.750
3 Tb 0.765 0.561 0.250
4 Tb 0.765 0.939 0.750
5 Al 0.500 0.000 0.000
6 Al 0.500 0.500 0.500
7 Fe 0.000 0.000 0.500
8 Fe 0.000 0.500 0.000
9 O 0.159 0.199 0.954
10 O 0.159 0.301 0.454
11 O 0.255 0.706 0.952
12 O 0.255 0.794 0.452
13 O 0.345 0.024 0.754
14 O 0.345 0.476 0.254
15 O 0.655 0.524 0.746
16 O 0.655 0.976 0.246
17 O 0.745 0.206 0.548
18 O 0.745 0.294 0.048
19 O 0.841 0.699 0.546
20 O 0.841 0.801 0.046

Principal peaks in the range 10° ≤ 2θ ≤ 80°, low angle first:
hkl  d/Å  2theta  intensity
1 1 -1  3.785  23.50  33.5
0 0 2  3.742  23.78  21.0
1 1 0  3.377  26.39  21.3
0 2 0  2.725  32.86  18.8
1 1 1  2.661  33.68  100.0
2 0 -2  2.630  34.09  25.8
2 0 0  2.152  41.99  18.0
2 2 -2  1.892  48.08  20.0
1 3 0  1.674  54.85  19.0
2 0 2  1.525  60.71  16.8

---

Entry 3:
Theoretical X-ray powder pattern of Nd2NiO4 for CuKα, from a GGA+U-relaxed structure.
No peak broadening, texture or thermal motion is included.

Structural model:
Lattice parameters (Å, degrees): 5.576 5.576 12.142 90.00 90.00 90.00
Positions (direct):
1 Nd 0.017 0.017 0.137
2 Nd 0.017 0.483 0.637
3 Nd 0.483 0.017 0.637
4 Nd 0.483 0.483 0.137
5 Nd 0.517 0.517 0.863
6 Nd 0.517 0.983 0.363
7 Nd 0.983 0.517 0.363
8 Nd 0.983 0.983 0.863
9 Ni 0.000 0.000 0.500
10 Ni 0.000 0.500 0.000
11 Ni 0.500 0.000 0.000
12 Ni 0.500 0.500 0.500
13 O 0.054 0.054 0.680
14 O 0.054 0.446 0.180
15 O 0.250 0.250 0.470
16 O 0.250 0.250 0.970
17 O 0.250 0.750 0.000
18 O 0.250 0.750 0.500
19 O 0.446 0.054 0.180
20 O 0.446 0.446 0.680
21 O 0.554 0.554 0.320
22 O 0.554 0.946 0.820
23 O 0.750 0.250 0.000
24 O 0.750 0.250 0.500
25 O 0.750 0.750 0.030
26 O 0.750 0.750 0.530
27 O 0.946 0.554 0.820
28 O 0.946 0.946 0.320

Principal peaks in the range 10° ≤ 2θ ≤ 80°, low angle first:
hkl  d/Å  2theta  intensity
1 1 1  3.750  23.73  30.7
0 0 4  3.036  29.42  13.7
1 1 3  2.824  31.68  100.0
2 0 0  2.788  32.11  72.6
1 1 5  2.068  43.78  21.7
2 0 4  2.053  44.10  29.2
2 2 0  1.971  46.04  34.8
3 1 3  1.616  56.97  38.5
1 1 7  1.588  58.10  10.6
3 1 5  1.427  65.41  10.6